No. 1
# VTc2O8
Theoretical XRD peak list, CuKα. Input: a structure optimized by DFT (GGA+U).
No peak broadening, texture or thermal motion is included.

Peak list (8 most intense, 10° ≤ 2θ ≤ 90°, by angle)
22.2°, I 100; 30.9°, I 29; 32.4°, I 12; 44.8°, I 11; 45.4°, I 11; 50.0°, I 20; 64.8°, I 14; 69.0°, I 7

Structure:
```
data_VTc2O8
_chemical_formula_sum 'V1 Tc2 O8'
_cell_length_a 5.7912
_cell_length_b 5.7912
_cell_length_c 6.6251
_cell_angle_alpha 90.00
_cell_angle_beta 90.00
_cell_angle_gamma 120.00
_space_group_name_H-M_alt 'P -3 m 1'
_space_group_IT_number 164
_space_group_name_Hall '-P 3 2"'
loop_
_atom_site_label
_atom_site_type_symbol
_atom_site_fract_x
_atom_site_fract_y
_atom_site_fract_z
_atom_site_occupancy
V1 V 0.0000 0.0000 0.0000 1
Tc1 Tc 0.3333 0.6667 0.7324 1
O1 O 0.1685 0.3370 0.8218 1
O2 O 0.3333 0.6667 0.4729 1
```

No. 2
# VTc2O
Theoretical XRD peak list, CuKα. Input: a structure optimized by DFT (GGA+U).
No peak broadening, texture or thermal motion is included.

Peak list (8 most intense, 10° ≤ 2θ ≤ 90°, by angle)
25.3°, I 16; 35.2°, I 100; 36.0°, I 26; 40.4°, I 26; 43.8°, I 24; 45.8°, I 46; 51.3°, I 30; 70.2°, I 15

Structure:
```
data_VTc2O
_chemical_formula_sum 'V4 Tc8 O4'
_cell_length_a 7.054
_cell_length_b 7.054
_cell_length_c 4.320
_cell_angle_alpha 90.00
_cell_angle_beta 90.00
_cell_angle_gamma 90.00
_space_group_name_H-M_alt 'I -4 2 d'
_space_group_IT_number 122
_space_group_name_Hall 'I -4 2bw'
loop_
_atom_site_label
_atom_site_type_symbol
_atom_site_fract_x
_atom_site_fract_y
_atom_site_fract_z
_atom_site_occupancy
V1 V 0.000 0.000 0.000 1
Tc1 Tc 0.151 0.250 0.625 1
O1 O 0.000 0.000 0.500 1
```